(1)
Theoretical powder diffractogram
Compound: Rb3PmU2O9
Radiation: Cu Kα, 1.54184 Å
Structure: the PBE geometry in Alexandria
Intensities are scaled so that the largest is 100.

```
Rb3PmU2O9
1.0
6.220 0.000 0.000
-3.110 5.386 0.000
0.000 0.000 7.616
Rb Pm U O
3 1 2 9
direct
0.000 0.000 0.000
0.333 0.667 0.663
0.667 0.333 0.337
0.000 0.000 0.500
0.333 0.667 0.163
0.667 0.333 0.837
0.000 0.500 0.000
0.178 0.356 0.317
0.178 0.822 0.317
0.356 0.178 0.683
0.500 0.000 0.000
0.500 0.500 0.000
0.644 0.822 0.317
0.822 0.178 0.683
0.822 0.644 0.683
```

Top 10 peaks for 2θ from 10° to 90°, by angle:
Position (°2θ)  I (rel.)
20.2  28
28.7  100
41.0  29
46.2  13
50.9  42
59.4  19
63.5  6
67.3  19
74.8  6
82.0  23

---

(2)
Theoretical powder diffractogram
Compound: TbTiGa2Ni5
Radiation: Cu Kα, 1.54184 Å
Structure: the PBE geometry in Alexandria
Intensities are scaled so that the largest is 100.

```
TbTiGa2Ni5
1.0
3.797 0.000 0.000
0.000 3.797 0.000
0.000 0.000 9.060
Tb Ti Ga Ni
1 1 2 5
direct
0.000 0.000 0.000
0.000 0.000 0.500
0.500 0.500 0.369
0.500 0.500 0.631
0.000 0.500 0.220
0.000 0.500 0.780
0.500 0.000 0.220
0.500 0.000 0.780
0.500 0.500 0.000
```

Top 10 peaks for 2θ from 10° to 90°, by angle:
Position (°2θ)  I (rel.)
25.4  25
30.7  17
39.0  100
45.2  48
46.7  19
47.9  50
70.1  15
72.1  13
83.3  20
87.4  14

---

(3)
Theoretical powder diffractogram
Compound: Rb4Th3CuTe8
Radiation: Cu Kα, 1.54184 Å
Structure: the PBE geometry in Alexandria
Intensities are scaled so that the largest is 100.

```
Rb4Th3CuTe8
1.0
7.933 -4.538 0.000
7.933 4.538 0.000
-5.298 0.000 8.554
Rb Th Cu Te
4 3 1 8
direct
0.000 0.000 0.000
0.000 0.500 0.000
0.500 0.000 0.000
0.500 0.500 0.000
0.000 0.000 0.500
0.000 0.500 0.500
0.500 0.000 0.500
0.500 0.500 0.500
0.237 0.237 0.711
0.244 0.724 0.693
0.269 0.269 0.301
0.276 0.756 0.307
0.724 0.244 0.693
0.731 0.731 0.699
0.756 0.276 0.307
0.763 0.763 0.289
```

Top 10 peaks for 2θ from 10° to 90°, by angle:
Position (°2θ)  I (rel.)
10.3  52
26.4  51
26.5  100
33.4  16
36.0  17
36.1  34
39.4  38
39.7  19
45.2  11
48.4  20

---

(4)
Theoretical powder diffractogram
Compound: BaLiMo3
Radiation: Cu Kα, 1.54184 Å
Structure: the PBE geometry in Alexandria
Intensities are scaled so that the largest is 100.

```
BaLiMo3
1.0
4.691 0.000 0.000
0.000 4.691 0.000
0.000 0.000 4.691
Ba Li Mo
1 1 3
direct
0.000 0.000 0.000
0.500 0.500 0.500
0.000 0.500 0.500
0.500 0.000 0.500
0.500 0.500 0.000
```

Top 10 peaks for 2θ from 10° to 90°, by angle:
Position (°2θ)  I (rel.)
18.9  1
26.9  2
33.1  100
38.4  52
43.1  1
47.5  1
55.4  35
66.1  39
69.4  12
82.2  6

---

(5)
Theoretical powder diffractogram
Compound: Y2Mg5
Radiation: Cu Kα, 1.54184 Å
Structure: the PBE geometry in Alexandria
Intensities are scaled so that the largest is 100.

```
Y2Mg5
1.0
-4.219 6.892 3.163
4.219 -6.892 3.163
4.219 6.892 -3.163
Y Mg
4 10
direct
0.087 0.157 0.245
0.413 0.657 0.070
0.587 0.343 0.930
0.913 0.843 0.755
0.029 0.750 0.279
0.145 0.772 0.917
0.250 0.750 0.500
0.355 0.272 0.626
0.471 0.750 0.721
0.529 0.250 0.279
0.645 0.728 0.374
0.750 0.250 0.500
0.855 0.228 0.083
0.971 0.250 0.721
```

Top 10 peaks for 2θ from 10° to 90°, by angle:
Position (°2θ)  I (rel.)
12.3  55
21.8  76
30.9  67
31.4  91
32.1  100
32.5  75
34.2  41
35.5  58
38.6  53
54.9  44

---

(6)
Theoretical powder diffractogram
Compound: Th2Sc4Ge3H2
Radiation: Cu Kα, 1.54184 Å
Structure: the PBE geometry in Alexandria
Intensities are scaled so that the largest is 100.

```
Th2Sc4Ge3H2
1.0
-2.172 2.172 11.431
2.172 -2.172 11.431
2.172 2.172 -11.431
Th Sc Ge H
2 4 3 2
direct
0.198 0.198 0.000
0.802 0.802 0.000
0.076 0.576 0.500
0.424 0.924 0.500
0.576 0.076 0.500
0.924 0.424 0.500
0.336 0.336 0.000
0.500 0.500 0.000
0.664 0.664 0.000
0.092 0.092 0.000
0.908 0.908 0.000
```

Top 10 peaks for 2θ from 10° to 90°, by angle:
Position (°2θ)  I (rel.)
23.6  76
28.3  52
29.1  65
30.1  100
34.4  90
37.6  84
41.6  74
55.0  47
56.4  28
72.5  29

---

(7)
Theoretical powder diffractogram
Compound: Li2Er
Radiation: Cu Kα, 1.54184 Å
Structure: the PBE geometry in Alexandria
Intensities are scaled so that the largest is 100.

```
Li2Er
1.0
-1.801 1.801 5.317
1.801 -1.801 5.317
1.801 1.801 -5.317
Li Er
2 1
direct
0.190 0.190 0.000
0.810 0.810 0.000
0.500 0.500 0.000
```

Top 10 peaks for 2θ from 10° to 90°, by angle:
Position (°2θ)  I (rel.)
16.7  68
26.1  100
33.7  14
35.2  27
35.5  53
39.2  33
49.6  19
49.8  16
57.9  22
63.4  20

---

(8)
Theoretical powder diffractogram
Compound: Tb4Pm5Pr4
Radiation: Cu Kα, 1.54184 Å
Structure: the PBE geometry in Alexandria
Intensities are scaled so that the largest is 100.

```
Tb4Pm5Pr4
1.0
-6.582 6.582 2.568
6.582 -6.582 2.568
6.582 6.582 -2.568
Tb Pm Pr
4 5 4
direct
0.154 0.769 0.923
0.231 0.154 0.385
0.769 0.846 0.615
0.846 0.231 0.077
0.000 0.000 0.000
0.309 0.540 0.849
0.460 0.309 0.769
0.540 0.691 0.231
0.691 0.460 0.151
0.078 0.382 0.460
0.382 0.922 0.305
0.618 0.078 0.695
0.922 0.618 0.540
```

Top 10 peaks for 2θ from 10° to 90°, by angle:
Position (°2θ)  I (rel.)
30.0  100
34.7  34
34.9  17
50.0  12
50.1  24
59.4  29
59.7  14
62.4  12
81.2  6
81.5  12